Diffraction record for TeMoO2. The XRD peak list is theoretical, not measured: it uses a structure optimized by DFT (PBE+U) and Cu Kα X-rays.
Neutral-atom scattering factors, no anomalous dispersion.

Cell and atoms:
Cell lengths 3.3757, 3.3757, 19.4967 Å; angles 90.00, 90.00, 120.00 degrees
Space group R-3m (No. 166, hexagonal axes)
Symmetry-distinct sites (fractional):
Te 0.0000 0.0000 0.0000 [3 per cell]
Mo 0.0000 0.0000 0.5000 [3 per cell]
O 0.0000 0.0000 0.1161 [6 per cell]

Principal peaks in the range 10 to 90 degrees two-theta, in order of rising 2θ:
(hkl)	2θ/deg	I (rel.)
0 0 6	27.45	43
0 1 2	31.96	100
1 0 4	35.82	52
0 1 8	48.64	37
1 1 0	54.35	26
1 0 10	56.75	21
1 1 6	61.95	26
2 0 2	64.46	13
0 2 10	82.42	17
1 2 2	89.20	11